The following is a computed PXRD pattern of Dy5Ir3. It was derived from the GGA-PBE geometry in Alexandria, using copper Kα.
Lines closer than 0.1° are merged.

Main lines, by angle (10° ≤ 2θ ≤ 90°):
22.98°, intensity 182, hkl 2 1 1; 29.47°, intensity 382, hkl 3 1 1; 32.81°, intensity 333, hkl 3 2 1; 33.59°, intensity 418, hkl 2 1 2; 36.87°, intensity 1000, hkl 4 2 0; 37.54°, intensity 205, hkl 3 0 2; 38.48°, intensity 283, hkl 3 1 2; 46.62°, intensity 218, hkl 2 1 3

Crystal structure
```
data_Dy5Ir3
_chemical_formula_sum 'Dy20 Ir12'
_cell_length_a 10.8918
_cell_length_b 10.8918
_cell_length_c 6.3766
_cell_angle_alpha 90.00
_cell_angle_beta 90.00
_cell_angle_gamma 90.00
_space_group_name_H-M_alt 'P 4/n c c'
_space_group_IT_number 130
loop_
_space_group_symop_operation_xyz
'x,y,z'
'-x,-y,-z'
'-y+1/2,x,z'
'y+1/2,-x,-z'
'-x+1/2,-y+1/2,z'
'x+1/2,y+1/2,-z'
'y,-x+1/2,z'
'-y,x+1/2,-z'
'x+1/2,-y,-z+1/2'
'-x+1/2,y,z+1/2'
'-y,-x,-z+1/2'
'y,x,z+1/2'
'-x,y+1/2,-z+1/2'
'x,-y+1/2,z+1/2'
'y+1/2,x+1/2,-z+1/2'
'-y+1/2,-x+1/2,z+1/2'
loop_
_atom_site_label
_atom_site_type_symbol
_atom_site_fract_x
_atom_site_fract_y
_atom_site_fract_z
Dy1 Dy 0.0418 0.1618 0.1198
Dy2 Dy 0.2500 0.7500 0.0000
Ir1 Ir 0.0964 0.5964 0.7500
Ir2 Ir 0.2500 0.2500 0.3748
```